No. 1
Theoretical X-ray diffraction stick pattern
Compound: Sr3Ag4
Radiation: Cu Kα (weighted mean of Kα1 and Kα2)
Structure: a structure optimized by DFT (GGA-PBE)

Atomic structure:
Cell: 7.4430 7.4430 5.1011 Å, 90.00 90.00 120.00°
Space group P6/mmm (No. 191)
One atom of each set of equivalent atoms:
Sr: 0.0000 0.5000 0.0000
Ag: 0.0000 0.0000 0.2492
Ag: 0.3333 0.6667 0.5000

Main lines, low angle first (2θ from 10° to 80°):
d (Å), I_rel, index
3.722, 100, 1 1 0
3.223, 75, 2 0 0
3.006, 86, 1 1 1
2.725, 96, 2 0 1
2.372, 82, 1 0 2
2.149, 22, 3 0 0
1.980, 25, 3 0 1
1.861, 54, 2 2 0
1.762, 64, 2 1 2
1.504, 22, 2 0 3
1.464, 34, 3 1 2
1.279, 21, 3 2 2

No. 2
Theoretical X-ray diffraction stick pattern
Compound: Sr4Ag
Radiation: Cu Kα (weighted mean of Kα1 and Kα2)
Structure: a structure optimized by DFT (GGA-PBE)

Atomic structure:
Cell: 10.4402 10.4402 4.0834 Å, 90.00 90.00 90.00°
Space group I4/m (No. 87)
One atom of each set of equivalent atoms:
Sr: 0.0685 0.2578 0.0000
Ag: 0.0000 0.0000 0.5000

Main lines, low angle first (2θ from 10° to 80°):
d (Å), I_rel, index
7.382, 19, 1 1 0
3.301, 48, 1 3 0
3.074, 100, 2 1 1
2.610, 11, 4 0 0
2.362, 17, 3 2 1
2.334, 16, 4 2 0
2.152, 10, 1 4 1
2.042, 9, 0 0 2
1.859, 19, 3 4 1
1.790, 11, 5 3 0
1.736, 14, 1 3 2
1.582, 11, 6 1 1

No. 3
Theoretical X-ray diffraction stick pattern
Compound: Sr2TaAg
Radiation: Cu Kα (weighted mean of Kα1 and Kα2)
Structure: a structure optimized by DFT (GGA-PBE)

Atomic structure:
Cell: 3.4550 5.7153 12.0058 Å, 90.00 90.00 90.00°
Space group Imm2 (No. 44)
One atom of each set of equivalent atoms:
Sr: 0.0000 0.0000 0.0000
Sr: 0.0000 0.5000 0.2026
Ta: 0.0000 0.5000 0.7748
Ag: 0.0000 0.0000 0.4569

Main lines, low angle first (2θ from 10° to 80°):
d (Å), I_rel, index
5.160, 28, 0 1 1
3.278, 12, 0 1 3
3.001, 20, 0 0 4
2.858, 36, 0 2 0
2.652, 100, 1 1 2
2.615, 14, 1 0 3
2.214, 12, 0 1 5
2.070, 14, 0 2 4
1.929, 11, 1 2 3
1.623, 9, 1 2 5
1.607, 22, 1 3 2
1.478, 10, 2 2 0

No. 4
Theoretical X-ray diffraction stick pattern
Compound: Sr11Tl9Ag4
Radiation: Cu Kα (weighted mean of Kα1 and Kα2)
Structure: a structure optimized by DFT (GGA-PBE)

Atomic structure:
Cell: 15.9526 23.8378 4.0976 Å, 90.00 90.00 90.00°
Space group Cmmm (No. 65)
One atom of each set of equivalent atoms:
Sr: 0.0000 0.0000 0.0000
Sr: 0.0000 0.1666 0.0000
Sr: 0.0000 0.3636 0.0000
Sr: 0.2112 0.5000 0.0000
Sr: 0.2402 0.1722 0.0000
Tl: 0.0000 0.5000 0.5000
Tl: 0.1064 0.2640 0.5000
Tl: 0.1408 0.0751 0.5000
Ag: 0.1483 0.4020 0.5000

Main lines, low angle first (2θ from 10° to 80°):
d (Å), I_rel, index
4.098, 16, 0 0 1
3.980, 10, 0 6 0
3.109, 10, 2 4 1
3.050, 11, 1 5 1
3.005, 10, 3 3 1
2.855, 100, 4 0 1
2.815, 52, 4 6 0
2.613, 10, 1 9 0
2.320, 10, 4 6 1
2.049, 18, 0 0 2
1.656, 22, 4 6 2
1.630, 9, 4 12 1

No. 5
Theoretical X-ray diffraction stick pattern
Compound: Sr2Tl8Ag
Radiation: Cu Kα (weighted mean of Kα1 and Kα2)
Structure: a structure optimized by DFT (GGA-PBE)

Atomic structure:
Cell: 5.0708 5.0708 12.9513 Å, 90.00 90.00 90.00°
Space group P4/mmm (No. 123)
One atom of each set of equivalent atoms:
Sr: 0.0000 0.0000 0.1898
Tl: 0.0000 0.5000 0.0000
Tl: 0.0000 0.5000 0.3735
Tl: 0.5000 0.5000 0.1857
Ag: 0.0000 0.0000 0.5000

Main lines, low angle first (2θ from 10° to 80°):
d (Å), I_rel, index
3.992, 7, 1 0 2
3.586, 9, 1 1 0
3.137, 24, 1 1 2
2.758, 100, 1 1 3
2.590, 15, 0 0 5
2.535, 53, 2 0 0
2.403, 7, 1 1 4
1.812, 21, 2 0 5
1.793, 19, 2 2 0
1.644, 8, 2 0 6
1.503, 32, 3 1 3
1.475, 27, 1 1 8

No. 6
Theoretical X-ray diffraction stick pattern
Compound: Sr3TlAg8
Radiation: Cu Kα (weighted mean of Kα1 and Kα2)
Structure: a structure optimized by DFT (GGA-PBE)

Atomic structure:
Cell: 5.8281 5.8281 29.1753 Å, 90.00 90.00 120.00°
Space group R3m (No. 160, hexagonal axes)
One atom of each set of equivalent atoms:
Sr: 0.0000 0.0000 0.0000
Sr: 0.0000 0.0000 0.1296
Sr: 0.0000 0.0000 0.6127
Tl: 0.0000 0.0000 0.4930
Ag: 0.0000 0.0000 0.3094
Ag: 0.0000 0.0000 0.8100
Ag: 0.0042 0.5021 0.5599
Ag: 0.1674 0.3348 0.3930

Main lines, low angle first (2θ from 10° to 80°):
d (Å), I_rel, index
2.956, 25, 0 1 8
2.914, 27, 1 1 0
2.526, 47, 1 0 10
2.500, 100, 1 1 6
2.487, 49, 2 0 2
2.431, 22, 0 0 12
2.385, 57, 0 2 4
1.597, 22, 2 1 10
1.590, 24, 0 3 6
1.478, 25, 0 2 16
1.457, 27, 2 2 0
1.262, 16, 2 0 20

No. 7
Theoretical X-ray diffraction stick pattern
Compound: SrAg2W
Radiation: Cu Kα (weighted mean of Kα1 and Kα2)
Structure: a structure optimized by DFT (GGA-PBE)

Atomic structure:
Cell: 3.0044 3.0044 9.0640 Å, 90.00 90.00 90.00°
Space group P4/mmm (No. 123)
One atom of each set of equivalent atoms:
Sr: 0.0000 0.0000 0.0000
Ag: 0.5000 0.5000 0.2835
W: 0.0000 0.0000 0.5000

Main lines, low angle first (2θ from 10° to 80°):
d (Å), I_rel, index
2.504, 100, 1 0 2
2.266, 15, 0 0 4
2.130, 14, 1 0 3
2.124, 33, 1 1 0
2.068, 5, 1 1 1
1.550, 18, 1 1 4
1.502, 11, 2 0 0
1.379, 5, 1 1 5
1.350, 7, 1 0 6
1.288, 24, 2 1 2
1.252, 9, 2 0 4
1.228, 5, 2 1 3

No. 8
Theoretical X-ray diffraction stick pattern
Compound: Sr2Zn5Ag5
Radiation: Cu Kα (weighted mean of Kα1 and Kα2)
Structure: a structure optimized by DFT (GGA-PBE)

Atomic structure:
Cell: 4.5017 5.5224 9.9906 Å, 90.00 90.00 90.00°
Space group Pmmm (No. 47)
One atom of each set of equivalent atoms:
Sr: 0.0000 0.0000 0.0000
Sr: 0.0000 0.5000 0.5000
Zn: 0.5000 0.0000 0.5000
Zn: 0.5000 0.2501 0.2520
Ag: 0.0000 0.0000 0.3313
Ag: 0.0000 0.5000 0.1805
Ag: 0.5000 0.5000 0.0000

Main lines, low angle first (2θ from 10° to 80°):
d (Å), I_rel, index
4.833, 21, 0 1 1
2.852, 25, 0 1 3
2.761, 16, 0 2 0
2.417, 12, 0 2 2
2.409, 100, 1 1 3
2.354, 38, 1 2 0
2.251, 38, 2 0 0
2.129, 33, 1 2 2
1.517, 22, 1 3 3
1.426, 16, 0 2 6
1.328, 14, 3 1 3
1.205, 18, 2 2 6

No. 9
Theoretical X-ray diffraction stick pattern
Compound: Sr3Zn8Ag
Radiation: Cu Kα (weighted mean of Kα1 and Kα2)
Structure: a structure optimized by DFT (GGA-PBE)

Atomic structure:
Cell: 5.6570 5.6570 27.6530 Å, 90.00 90.00 120.00°
Space group R3m (No. 160, hexagonal axes)
One atom of each set of equivalent atoms:
Sr: 0.0000 0.0000 0.0000
Sr: 0.0000 0.0000 0.1274
Sr: 0.0000 0.0000 0.6156
Zn: 0.0000 0.0000 0.3084
Zn: 0.0000 0.0000 0.8126
Zn: 0.0030 0.5015 0.5593
Zn: 0.0042 0.5021 0.0637
Ag: 0.0000 0.0000 0.4931

Main lines, low angle first (2θ from 10° to 80°):
d (Å), I_rel, index
2.827, 36, 1 1 0
2.410, 100, 2 0 2
2.308, 32, 0 0 12
1.633, 10, 3 0 0
1.630, 3, 1 0 16
1.539, 29, 3 0 6
1.414, 13, 2 2 0
1.412, 11, 0 2 16
1.264, 5, 3 1 8
1.220, 8, 0 4 2
1.206, 8, 2 2 12
1.204, 2, 2 0 20

No. 10
Theoretical X-ray diffraction stick pattern
Compound: SrZn4Ag
Radiation: Cu Kα (weighted mean of Kα1 and Kα2)
Structure: a structure optimized by DFT (GGA-PBE)

Atomic structure:
Cell: 4.3569 16.4031 6.9332 Å, 90.00 90.00 90.00°
Space group Cmcm (No. 63)
One atom of each set of equivalent atoms:
Sr: 0.0000 0.1197 0.2500
Zn: 0.0000 0.0711 0.7500
Zn: 0.0000 0.3348 0.0658
Zn: 0.0000 0.5000 0.0000
Ag: 0.0000 0.2334 0.7500

Main lines, low angle first (2θ from 10° to 80°):
d (Å), I_rel, index
8.202, 17, 0 2 0
3.058, 24, 1 3 1
2.676, 100, 1 1 2
2.621, 27, 1 5 0
2.543, 21, 0 6 1
2.451, 75, 1 5 1
2.178, 48, 2 0 0
2.147, 44, 0 6 2
2.064, 21, 1 7 0
2.026, 25, 1 1 3
1.529, 29, 2 6 2
1.226, 16, 1 5 5

No. 11
Theoretical X-ray diffraction stick pattern
Compound: SrZn2Ag
Radiation: Cu Kα (weighted mean of Kα1 and Kα2)
Structure: a structure optimized by DFT (GGA-PBE)

Atomic structure:
Cell: 4.2230 4.7317 5.1319 Å, 90.00 90.08 90.00°
Space group P2/m (No. 10)
One atom of each set of equivalent atoms:
Sr: 0.0000 0.0000 0.0000
Zn: 0.4991 0.5000 0.7489
Ag: 0.5000 0.0000 0.5000

Main lines, low angle first (2θ from 10° to 80°):
d (Å), I_rel, index
4.223, 57, 1 0 0
3.261, 86, 1 0 1
3.151, 27, 1 1 0
2.685, 100, 1 1 -1
2.366, 51, 0 2 0
2.256, 89, 0 1 2
2.112, 36, 2 0 0
1.990, 28, 1 1 2
1.915, 37, 1 2 1
1.575, 28, 2 2 0
1.541, 51, 2 1 2
1.503, 17, 1 1 3

No. 12
Theoretical X-ray diffraction stick pattern
Compound: Sr2Zn2Ag15
Radiation: Cu Kα (weighted mean of Kα1 and Kα2)
Structure: a structure optimized by DFT (GGA-PBE)

Atomic structure:
Cell: 9.7316 9.7316 14.2667 Å, 90.00 90.00 120.00°
Space group R-3m (No. 166, hexagonal axes)
One atom of each set of equivalent atoms:
Sr: 0.0000 0.0000 0.1589
Zn: 0.0000 0.0000 0.4052
Ag: 0.0000 0.3004 0.5000
Ag: 0.0000 0.5000 0.0000
Ag: 0.0010 0.5005 0.3454

Main lines, low angle first (2θ from 10° to 80°):
d (Å), I_rel, index
4.866, 31, 1 1 0
2.809, 22, 3 0 0
2.722, 17, 0 2 4
2.433, 48, 2 2 0
2.419, 100, 3 0 3
2.378, 43, 0 0 6
2.166, 83, 2 2 3
2.136, 21, 1 1 6
1.700, 18, 2 2 6
1.535, 17, 3 3 3
1.405, 21, 6 0 0
1.380, 20, 3 0 9